1.
For B2O, a DFT-relaxed cell (PBE, the Materials Project) gives the simulated powder diffractogram in this record (Cu Kα (weighted mean of Kα1 and Kα2)).
Intensities are scaled so that the largest is 100.

Main lines, by angle (10° ≤ 2θ ≤ 90°):
Position (°2θ)	d (Å)	Rel. int.	(hkl)
17.5	5.066	55	0 0 2
26.4	3.377	100	0 0 3
35.4	2.533	14	0 0 4
41.5	2.175	48	0 1 1
44.4	2.039	31	0 1 2
44.7	2.026	10	0 0 5
49.0	1.859	30	0 1 3
69.9	1.346	20	0 1 6
73.7	1.286	17	1 1 0
79.8	1.202	12	1 1 3

Atomic structure:
```
data_B2O
_chemical_formula_sum 'B4 O2'
_symmetry_space_group_name_H-M 'P -3 m 1'
_symmetry_Int_Tables_number 164
_symmetry_space_group_name_Hall '-P 3 2"'
_cell_length_a 2.5716
_cell_length_b 2.5716
_cell_length_c 10.1316
_cell_angle_alpha 90.00
_cell_angle_beta 90.00
_cell_angle_gamma 120.00
loop_
_atom_site_label
_atom_site_type_symbol
_atom_site_fract_x
_atom_site_fract_y
_atom_site_fract_z
_atom_site_occupancy
B1 B 0.0000 0.0000 0.0863 1
B2 B 0.3333 0.6667 0.4744 1
O1 O 0.3333 0.6667 0.1411 1
```

2.
For CsAgCl2, a DFT-relaxed cell (PBE, the Materials Project) gives the simulated powder diffractogram in this record (Cu Kα (weighted mean of Kα1 and Kα2)).
Intensities are scaled so that the largest is 100.

Main lines, by angle (10° ≤ 2θ ≤ 90°):
Position (°2θ)	d (Å)	Rel. int.	(hkl)
23.9	3.722	68	0 4 1
24.3	3.669	26	1 3 0
25.7	3.464	100	1 1 1
28.8	3.095	56	1 3 1
30.5	2.931	75	1 5 0
31.0	2.883	68	0 0 2
40.6	2.222	31	2 0 0
44.1	2.055	53	1 5 2
49.4	1.845	50	1 9 1
52.0	1.760	29	2 0 2

Atomic structure:
```
data_CsAgCl2
_chemical_formula_sum 'Cs4 Ag4 Cl8'
_symmetry_space_group_name_H-M 'C m c m'
_symmetry_Int_Tables_number 63
_symmetry_space_group_name_Hall '-C 2c 2'
_cell_length_a 4.4446
_cell_length_b 19.4957
_cell_length_c 5.7659
_cell_angle_alpha 90.00
_cell_angle_beta 90.00
_cell_angle_gamma 90.00
loop_
_atom_site_label
_atom_site_type_symbol
_atom_site_fract_x
_atom_site_fract_y
_atom_site_fract_z
_atom_site_occupancy
Cs1 Cs 0.0000 0.0825 0.2500 1
Ag1 Ag 0.0000 0.2996 0.2500 1
Cl1 Cl 0.0000 0.2761 0.7500 1
Cl2 Cl 0.0000 0.4309 0.2500 1
```